# Li3MnFe2B3O9
Calculated PXRD pattern, Cu Kα, 1.54184 Å. Input: a structure optimized by DFT (PBE+U).

The 6 most intense peaks (10° ≤ 2θ ≤ 90°), by angle:
2θ/deg, intensity
21.59, 100
31.04, 15
35.90, 80
37.83, 20
47.95, 27
53.20, 15

abc: 8.804 8.804 8.247
angles: 117.88 117.88 41.93
Sites, in units of the cell vectors:
1 Li 0.040 0.540 0.265
2 Li 0.249 0.751 0.000
3 Li 0.382 0.881 0.686
4 Li 0.540 0.040 0.265
5 Li 0.751 0.249 0.000
6 Li 0.881 0.382 0.686
7 Mn 0.147 0.147 0.358
8 Mn 0.321 0.321 0.972
9 Fe 0.450 0.450 0.617
10 Fe 0.645 0.645 0.351
11 Fe 0.821 0.821 0.977
12 Fe 0.951 0.951 0.617
13 B 0.056 0.560 0.651
14 B 0.139 0.139 0.982
15 B 0.225 0.725 0.318
16 B 0.560 0.056 0.651
17 B 0.640 0.640 0.982
18 B 0.725 0.225 0.318
19 O 0.015 0.520 0.764
20 O 0.083 0.083 0.066
21 O 0.098 0.098 0.788
22 O 0.158 0.653 0.732
23 O 0.169 0.675 0.124
24 O 0.182 0.679 0.424
25 O 0.237 0.237 0.096
26 O 0.325 0.819 0.407
27 O 0.505 0.999 0.457
28 O 0.520 0.015 0.764
29 O 0.586 0.586 0.070
30 O 0.598 0.598 0.789
31 O 0.653 0.158 0.732
32 O 0.675 0.169 0.124
33 O 0.679 0.182 0.424
34 O 0.738 0.738 0.092
35 O 0.819 0.325 0.407
36 O 0.999 0.505 0.457